The following is a theoretical powder X-ray diffraction pattern of TmTeF. It was derived from a structure optimized by DFT (GGA-PBE), using copper Kα.
Neutral-atom scattering factors, no anomalous dispersion.

Peak list (10 most intense, 2θ = 5–70°, in order of rising 2θ)
| 2theta | d [Å] | I/Imax | h k l |
| --- | --- | --- | --- |
| 16.6 | 5.329 | 35 | 1 0 0 |
| 27.2 | 3.275 | 63 | 1 1 -2 |
| 27.3 | 3.261 | 27 | 0 0 2 |
| 29.5 | 3.031 | 100 | 0 2 1 |
| 32.1 | 2.791 | 56 | 2 1 -1 |
| 33.7 | 2.659 | 55 | 2 1 -2 |
| 36.2 | 2.483 | 57 | 2 1 0 |
| 37.4 | 2.406 | 29 | 1 2 1 |
| 38.4 | 2.343 | 37 | 1 1 -3 |
| 38.9 | 2.315 | 34 | 1 0 2 |

Structural model:
```
data_TmTeF
_chemical_formula_sum 'Tm4 Te4 F4'
_cell_length_a 6.147
_cell_length_b 6.847
_cell_length_c 7.522
_cell_angle_alpha 90.00
_cell_angle_beta 119.88
_cell_angle_gamma 90.00
_space_group_name_H-M_alt 'P 1'
_space_group_IT_number 1
loop_
_space_group_symop_operation_xyz
'x,y,z'
loop_
_atom_site_label
_atom_site_fract_x
_atom_site_fract_y
_atom_site_fract_z
Tm1 0.120 0.179 0.226
Tm2 0.120 0.321 0.726
Tm3 0.880 0.679 0.274
Tm4 0.880 0.821 0.774
Te1 0.316 0.581 0.120
Te2 0.316 0.919 0.620
Te3 0.684 0.081 0.380
Te4 0.684 0.419 0.880
F1 0.118 0.089 0.930
F2 0.118 0.411 0.430
F3 0.882 0.589 0.570
F4 0.882 0.911 0.070
```